Entry 1:
Simulated powder diffractogram
Compound: TlFe3I12
Radiation: Cu Ka
Structure: a PBE-relaxed structure
Peak positions follow from Bragg's law for the DFT cell and can differ from measured ones.

The 12 most intense peaks (15 to 90 degrees two-theta), by angle:
2theta	I/Imax
24.88	430
25.06	1000
28.66	169
28.81	434
28.96	440
30.11	154
32.17	126
38.43	146
38.54	134
41.64	125
44.23	213
53.26	137

Atomic structure:
Cell: 14.5309 14.5309 14.5309 Å, 50.50 50.50 50.50°
Element x y z (fractional)
1 Tl 0.0000 0.0000 0.0000
2 Tl 0.5000 0.5000 0.5000
3 Fe 0.1410 0.8044 0.4324
4 Fe 0.3044 0.6410 0.9324
5 Fe 0.4324 0.1410 0.8044
6 Fe 0.6410 0.9324 0.3044
7 Fe 0.8044 0.4324 0.1410
8 Fe 0.9324 0.3044 0.6410
9 I 0.0216 0.4668 0.4330
10 I 0.0708 0.6706 0.0940
11 I 0.0940 0.0708 0.6706
12 I 0.1614 0.8224 0.2365
13 I 0.1706 0.5708 0.5940
14 I 0.2365 0.1614 0.8224
15 I 0.3096 0.8548 0.3807
16 I 0.3224 0.6614 0.7365
17 I 0.3548 0.8096 0.8807
18 I 0.3807 0.3096 0.8548
19 I 0.4330 0.0216 0.4668
20 I 0.4668 0.4330 0.0216
21 I 0.5216 0.9330 0.9668
22 I 0.5708 0.5940 0.1706
23 I 0.5940 0.1706 0.5708
24 I 0.6614 0.7365 0.3224
25 I 0.6706 0.0940 0.0708
26 I 0.7365 0.3224 0.6614
27 I 0.8096 0.8807 0.3548
28 I 0.8224 0.2365 0.1614
29 I 0.8548 0.3807 0.3096
30 I 0.8807 0.3548 0.8096
31 I 0.9330 0.9668 0.5216
32 I 0.9668 0.5216 0.9330

***

Entry 2:
Simulated powder diffractogram
Compound: TlFe4I12
Radiation: Cu Ka
Structure: a PBE-relaxed structure
Peak positions follow from Bragg's law for the DFT cell and can differ from measured ones.

The 12 most intense peaks (15 to 90 degrees two-theta), by angle:
2theta	I/Imax
16.27	300
20.48	222
25.96	956
26.76	193
28.75	768
31.48	1000
32.89	665
34.98	339
37.20	222
47.20	232
50.20	301
52.24	544

Atomic structure:
Cell: 9.3210 9.3210 9.3210 Å, 111.46 108.51 108.47°
Element x y z (fractional)
1 Tl 0.0000 0.0000 0.0000
2 Fe 0.0000 0.0000 0.5000
3 Fe 0.0000 0.5000 0.0000
4 Fe 0.5000 0.0000 0.0000
5 Fe 0.5000 0.5000 0.5000
6 I 0.0009 0.6899 0.3110
7 I 0.2615 0.1869 0.4484
8 I 0.2615 0.8131 0.0746
9 I 0.2643 0.0779 0.8136
10 I 0.2643 0.4507 0.1864
11 I 0.3788 0.6899 0.6890
12 I 0.6212 0.3101 0.3110
13 I 0.7357 0.5493 0.8136
14 I 0.7357 0.9221 0.1864
15 I 0.7385 0.1869 0.9254
16 I 0.7385 0.8131 0.5516
17 I 0.9991 0.3101 0.6890

***

Entry 3:
Simulated powder diffractogram
Compound: VFeI5
Radiation: Cu Ka
Structure: a PBE-relaxed structure
Peak positions follow from Bragg's law for the DFT cell and can differ from measured ones.

The 12 most intense peaks (15 to 90 degrees two-theta), by angle:
2theta	I/Imax
17.90	318
18.91	312
25.60	819
26.15	1000
28.62	192
29.95	236
31.28	753
36.22	297
38.37	211
39.66	324
48.60	235
52.57	187

Atomic structure:
Cell: 7.3950 7.3950 11.0081 Å, 109.88 109.88 84.26°
Element x y z (fractional)
1 V 0.0000 0.5000 0.0000
2 V 0.5000 0.0000 0.5000
3 Fe 0.0618 0.9382 0.7500
4 Fe 0.9382 0.0618 0.2500
5 I 0.1538 0.6462 0.8523
6 I 0.2142 0.2692 0.4871
7 I 0.2185 0.7815 0.2500
8 I 0.2692 0.2142 0.9871
9 I 0.3538 0.8462 0.6477
10 I 0.6462 0.1538 0.3523
11 I 0.7308 0.7858 0.0129
12 I 0.7815 0.2185 0.7500
13 I 0.7858 0.7308 0.5129
14 I 0.8462 0.3538 0.1477

***

Entry 4:
Simulated powder diffractogram
Compound: InFe5
Radiation: Cu Ka
Structure: a PBE-relaxed structure
Peak positions follow from Bragg's law for the DFT cell and can differ from measured ones.

The 12 most intense peaks (15 to 90 degrees two-theta), by angle:
2theta	I/Imax
42.63	1000
42.86	499
43.34	458
43.55	965
61.17	167
62.57	154
63.99	135
77.72	147
78.83	146
79.16	139
79.63	139
80.30	124

Atomic structure:
Cell: 4.8388 4.8388 6.0610 Å, 107.67 107.67 35.73°
Element x y z (fractional)
1 In 0.0000 0.0000 0.0000
2 Fe 0.0000 0.0000 0.5000
3 Fe 0.3226 0.3226 0.1866
4 Fe 0.3279 0.3279 0.6461
5 Fe 0.6721 0.6721 0.3539
6 Fe 0.6774 0.6774 0.8134

***

Entry 5:
Simulated powder diffractogram
Compound: In3Fe
Radiation: Cu Ka
Structure: a PBE-relaxed structure
Peak positions follow from Bragg's law for the DFT cell and can differ from measured ones.

The 12 most intense peaks (15 to 90 degrees two-theta), by angle:
2theta	I/Imax
28.02	930
31.43	211
36.92	157
39.06	1000
39.32	389
40.74	302
45.91	279
46.23	178
57.91	206
62.27	144
68.12	267
71.13	292

Atomic structure:
Cell: 7.1746 7.1746 4.5830 Å, 108.55 108.55 23.43°
Element x y z (fractional)
1 In 0.0000 0.0000 0.0000
2 In 0.1802 0.1802 0.6801
3 In 0.8198 0.8198 0.3199
4 Fe 0.5000 0.5000 0.5000

***

Entry 6:
Simulated powder diffractogram
Compound: InFe
Radiation: Cu Ka
Structure: a PBE-relaxed structure
Peak positions follow from Bragg's law for the DFT cell and can differ from measured ones.

The 12 most intense peaks (15 to 90 degrees two-theta), by angle:
2theta	I/Imax
25.66	122
25.77	399
28.29	241
37.35	837
38.49	1000
38.64	392
42.86	359
45.38	333
49.72	287
50.81	176
65.01	199
81.03	112

Atomic structure:
Cell: 7.9941 7.3749 4.7656 Å, 79.18 64.98 35.84°
Element x y z (fractional)
1 In 0.0467 0.7033 0.0467
2 In 0.2967 0.9533 0.2967
3 In 0.7033 0.0467 0.7033
4 In 0.9533 0.2967 0.9533
5 Fe 0.2924 0.2924 0.4576
6 Fe 0.4576 0.4576 0.2924
7 Fe 0.5424 0.5424 0.7076
8 Fe 0.7076 0.7076 0.5424

***

Entry 7:
Simulated powder diffractogram
Compound: In5Fe
Radiation: Cu Ka
Structure: a PBE-relaxed structure
Peak positions follow from Bragg's law for the DFT cell and can differ from measured ones.

The 12 most intense peaks (15 to 90 degrees two-theta), by angle:
2theta	I/Imax
25.52	78
30.77	261
35.68	27
36.04	1000
37.11	213
47.81	27
48.95	138
54.71	178
66.20	159
67.28	136
67.97	181
76.45	30

Atomic structure:
Cell: 5.8117 5.8117 4.8449 Å, 90.00 90.00 120.00°
Element x y z (fractional)
1 In 0.0000 0.6968 0.0000
2 In 0.3032 0.3032 0.0000
3 In 0.3333 0.6667 0.5000
4 In 0.6667 0.3333 0.5000
5 In 0.6968 0.0000 0.0000
6 Fe 0.0000 0.0000 0.5000

***

Entry 8:
Simulated powder diffractogram
Compound: TaInFeIr
Radiation: Cu Ka
Structure: a PBE-relaxed structure
Peak positions follow from Bragg's law for the DFT cell and can differ from measured ones.

The 9 most intense peaks (15 to 90 degrees two-theta), by angle:
2theta	I/Imax
24.35	168
28.19	10
40.30	1000
47.65	91
58.31	168
64.13	39
73.26	339
78.52	31
87.09	111

Atomic structure:
Cell: 4.4761 4.4761 4.4761 Å, 60.00 60.00 60.00°
Element x y z (fractional)
1 Ta 0.0000 0.0000 0.0000
2 In 0.5000 0.5000 0.5000
3 Fe 0.2500 0.2500 0.2500
4 Ir 0.7500 0.7500 0.7500

***

Entry 9:
Simulated powder diffractogram
Compound: LaIn2Fe
Radiation: Cu Ka
Structure: a PBE-relaxed structure
Peak positions follow from Bragg's law for the DFT cell and can differ from measured ones.

The 12 most intense peaks (15 to 90 degrees two-theta), by angle:
2theta	I/Imax
28.15	738
28.60	1000
34.90	533
36.02	511
39.48	377
41.26	174
45.72	542
46.93	220
53.70	300
54.51	307
59.79	208
89.60	141

Atomic structure:
Cell: 4.9896 4.9896 4.5647 Å, 90.00 90.00 117.97°
Element x y z (fractional)
1 La 0.0000 0.0000 0.0000
2 In 0.3307 0.6693 0.5000
3 In 0.6693 0.3307 0.5000
4 Fe 0.5000 0.5000 0.0000